Computed X-ray powder pattern
Compound: VH12SO11
Radiation: λ = 1.5418 Å (Cu Kα)
Structure: a PBE+U-relaxed structure
No peak broadening, texture or thermal motion is included.

Largest 12 diffraction maxima, by angle, 2θ from 15° to 90°:
2θ (°)	d_spacing	I/Imax
17.34	5.115	100
18.51	4.794	71
20.61	4.310	96
20.76	4.279	58
22.89	3.885	70
23.24	3.828	73
28.51	3.130	29
30.04	2.975	38
32.57	2.750	32
36.94	2.433	23
37.27	2.412	25
44.02	2.057	23

Atomic structure:
Unit cell a=6.125 b=7.727 c=10.377 alpha=89.45 beta=80.33 gamma=82.27
Fractional positions:
V 0.063 0.238 0.220
V 0.937 0.762 0.780
H 0.018 0.451 0.658
H 0.123 0.061 0.790
H 0.137 0.899 0.134
H 0.186 0.203 0.470
H 0.209 0.008 0.413
H 0.210 0.685 0.007
H 0.256 0.513 0.297
H 0.294 0.746 0.583
H 0.351 0.612 0.699
H 0.386 0.667 0.111
H 0.477 0.062 0.192
H 0.492 0.204 0.074
H 0.508 0.796 0.926
H 0.523 0.938 0.808
H 0.614 0.333 0.889
H 0.649 0.388 0.301
H 0.706 0.254 0.417
H 0.744 0.487 0.703
H 0.790 0.315 0.993
H 0.791 0.992 0.587
H 0.814 0.797 0.530
H 0.863 0.101 0.866
H 0.877 0.939 0.210
H 0.982 0.549 0.342
S 0.441 0.262 0.667
S 0.559 0.738 0.333
O 0.004 0.677 0.916
O 0.025 0.983 0.192
O 0.114 0.460 0.310
O 0.140 0.131 0.403
O 0.252 0.325 0.597
O 0.260 0.722 0.679
O 0.319 0.744 0.047
O 0.358 0.807 0.428
O 0.377 0.124 0.762
O 0.398 0.169 0.156
O 0.493 0.414 0.742
O 0.507 0.586 0.258
O 0.602 0.831 0.844
O 0.623 0.876 0.238
O 0.642 0.193 0.572
O 0.681 0.256 0.953
O 0.740 0.278 0.321
O 0.748 0.675 0.403
O 0.860 0.869 0.597
O 0.886 0.540 0.690
O 0.975 0.017 0.808
O 0.996 0.323 0.084